(1)
# ZnPd10
Theoretical X-ray diffraction stick pattern, Cu Kα (λ = 1.5418 Å). Input: DFT lattice parameters and positions (PBE).
Kinematic intensities with the Lorentz-polarization factor, no thermal factor.

Principal peaks in the range 2θ from 15° to 90°, by intensity:
- (1 1 5), d = 2.281 Å, I 100
- (1 1 -10), d = 1.998 Å, I 60
- (2 0 -5), d = 2.262 Å, I 49
- (0 0 16), d = 2.211 Å, I 41
- (0 0 15), d = 2.357 Å, I 41
- (3 1 0), d = 1.380 Å, I 31
- (2 0 10), d = 1.965 Å, I 29
- (1 1 -11), d = 1.935 Å, I 27

Crystal structure
```
data_ZnPd10
_chemical_formula_sum 'Zn2 Pd20'
_cell_length_a 4.759
_cell_length_b 2.801
_cell_length_c 35.364
_cell_angle_alpha 90.00
_cell_angle_beta 90.56
_cell_angle_gamma 90.00
_space_group_name_H-M_alt 'P 1 21/m 1'
_space_group_IT_number 11
_space_group_name_Hall '-P 2yb'
loop_
_atom_site_label
_atom_site_fract_x
_atom_site_fract_y
_atom_site_fract_z
_atom_site_occupancy
Zn1 0.083 0.250 0.320 1
Pd1 0.082 0.250 0.740 1
Pd2 0.083 0.250 0.130 1
Pd3 0.083 0.250 0.935 1
Pd4 0.249 0.750 0.194 1
Pd5 0.250 0.750 0.000 1
Pd6 0.250 0.750 0.806 1
Pd7 0.417 0.250 0.065 1
Pd8 0.417 0.250 0.259 1
Pd9 0.417 0.250 0.871 1
Pd10 0.418 0.250 0.676 1
```

---

(2)
# ZnPd21
Theoretical X-ray diffraction stick pattern, Cu Kα (λ = 1.5418 Å). Input: DFT lattice parameters and positions (PBE).
Kinematic intensities with the Lorentz-polarization factor, no thermal factor.

Principal peaks in the range 2θ from 15° to 90°, by intensity:
- (2 0 3), d = 2.281 Å, I 100
- (0 2 -11), d = 2.225 Å, I 89
- (2 0 4), d = 2.240 Å, I 86
- (1 -3 0), d = 1.950 Å, I 60
- (0 2 -10), d = 2.353 Å, I 51
- (-1 1 10), d = 2.353 Å, I 51
- (1 1 14), d = 1.998 Å, I 47
- (2 2 -7), d = 1.961 Å, I 41

Crystal structure
```
data_ZnPd21
_chemical_formula_sum 'Zn2 Pd42'
_cell_length_a 4.786
_cell_length_b 7.309
_cell_length_c 31.375
_cell_angle_alpha 89.85
_cell_angle_beta 89.76
_cell_angle_gamma 77.30
_space_group_name_H-M_alt 'P -1'
_space_group_IT_number 2
_space_group_name_Hall '-P 1'
loop_
_atom_site_label
_atom_site_fract_x
_atom_site_fract_y
_atom_site_fract_z
_atom_site_occupancy
Zn1 0.020 0.174 0.208 1
Pd1 0.024 0.175 0.486 1
Pd2 0.031 0.171 0.773 1
Pd3 0.072 0.527 0.745 1
Pd4 0.074 0.524 0.457 1
Pd5 0.123 0.874 0.429 1
Pd6 0.134 0.877 0.714 1
Pd7 0.172 0.224 0.400 1
Pd8 0.180 0.227 0.686 1
Pd9 0.223 0.574 0.371 1
Pd10 0.227 0.577 0.657 1
Pd11 0.270 0.924 0.343 1
Pd12 0.280 0.926 0.628 1
Pd13 0.320 0.273 0.313 1
Pd14 0.327 0.276 0.600 1
Pd15 0.371 0.622 0.286 1
Pd16 0.378 0.626 0.571 1
Pd17 0.420 0.975 0.255 1
Pd18 0.427 0.975 0.543 1
Pd19 0.475 0.325 0.514 1
Pd20 0.476 0.320 0.227 1
Pd21 0.482 0.328 0.797 1
```

---

(3)
# Zr3ZnPd2
Theoretical X-ray diffraction stick pattern, Cu Kα (λ = 1.5418 Å). Input: DFT lattice parameters and positions (PBE).
Kinematic intensities with the Lorentz-polarization factor, no thermal factor.

Principal peaks in the range 2θ from 15° to 90°, by intensity:
- (1 0 3), d = 2.387 Å, I 100
- (1 1 0), d = 2.331 Å, I 51
- (2 1 3), d = 1.356 Å, I 32
- (2 0 0), d = 1.648 Å, I 17
- (1 1 6), d = 1.389 Å, I 13
- (2 0 6), d = 1.193 Å, I 8
- (0 0 6), d = 1.730 Å, I 7
- (2 2 0), d = 1.166 Å, I 5

Crystal structure
```
data_Zr3ZnPd2
_chemical_formula_sum 'Zr3 Zn1 Pd2'
_cell_length_a 3.297
_cell_length_b 3.297
_cell_length_c 10.381
_cell_angle_alpha 90.00
_cell_angle_beta 90.00
_cell_angle_gamma 90.00
_space_group_name_H-M_alt 'P 4 m m'
_space_group_IT_number 99
_space_group_name_Hall 'P 4 -2'
loop_
_atom_site_label
_atom_site_fract_x
_atom_site_fract_y
_atom_site_fract_z
_atom_site_occupancy
Zr1 0.000 0.000 0.000 1
Zr2 0.000 0.000 0.342 1
Zr3 0.500 0.500 0.801 1
Zn1 0.500 0.500 0.508 1
Pd1 0.000 0.000 0.640 1
Pd2 0.500 0.500 0.162 1
```

---

(4)
# ZrPd4
Theoretical X-ray diffraction stick pattern, Cu Kα (λ = 1.5418 Å). Input: DFT lattice parameters and positions (PBE).
Kinematic intensities with the Lorentz-polarization factor, no thermal factor.

Principal peaks in the range 2θ from 15° to 90°, by intensity:
- (1 1 5), d = 2.178 Å, I 100
- (0 2 0), d = 2.285 Å, I 26
- (1 3 5), d = 1.298 Å, I 18
- (1 0 5), d = 2.476 Å, I 16
- (2 2 0), d = 1.680 Å, I 15
- (3 2 5), d = 1.213 Å, I 13
- (3 0 5), d = 1.432 Å, I 11
- (2 1 10), d = 1.195 Å, I 9

Crystal structure
```
data_ZrPd4
_chemical_formula_sum 'Zr4 Pd16'
_cell_length_a 4.966
_cell_length_b 4.569
_cell_length_c 14.282
_cell_angle_alpha 90.00
_cell_angle_beta 90.00
_cell_angle_gamma 90.00
_space_group_name_H-M_alt 'P n m a'
_space_group_IT_number 62
_space_group_name_Hall '-P 2ac 2n'
loop_
_atom_site_label
_atom_site_fract_x
_atom_site_fract_y
_atom_site_fract_z
_atom_site_occupancy
Zr1 0.160 0.250 0.101 1
Pd1 0.163 0.250 0.302 1
Pd2 0.165 0.250 0.702 1
Pd3 0.169 0.250 0.501 1
Pd4 0.178 0.250 0.900 1
```

---

(5)
# Pm
Theoretical X-ray diffraction stick pattern, Cu Kα (λ = 1.5418 Å). Input: DFT lattice parameters and positions (PBE).
Kinematic intensities with the Lorentz-polarization factor, no thermal factor.

Principal peaks in the range 2θ from 15° to 90°, by intensity:
- (1 0 1), d = 2.982 Å, I 100
- (0 1 2), d = 2.576 Å, I 67
- (0 0 3), d = 2.952 Å, I 32
- (1 1 3), d = 1.554 Å, I 29
- (1 1 0), d = 1.828 Å, I 24
- (1 0 4), d = 1.815 Å, I 24
- (0 2 1), d = 1.559 Å, I 14
- (0 1 5), d = 1.546 Å, I 14

Crystal structure
```
data_Pm
_chemical_formula_sum 'Pm3'
_cell_length_a 3.6564
_cell_length_b 3.6564
_cell_length_c 8.8569
_cell_angle_alpha 90.00
_cell_angle_beta 90.00
_cell_angle_gamma 120.00
_space_group_name_H-M_alt 'R -3 m'
_space_group_IT_number 166
_space_group_name_Hall '-R 3 2"'
loop_
_atom_site_label
_atom_site_fract_x
_atom_site_fract_y
_atom_site_fract_z
_atom_site_occupancy
Pm1 0.0000 0.0000 0.0000 1
```

---

(6)
# Pm
Theoretical X-ray diffraction stick pattern, Cu Kα (λ = 1.5418 Å). Input: DFT lattice parameters and positions (PBE).
Kinematic intensities with the Lorentz-polarization factor, no thermal factor.

Principal peaks in the range 2θ from 15° to 90°, by intensity:
- (4 1 1), d = 2.956 Å, I 100
- (3 3 2), d = 2.674 Å, I 37
- (7 2 1), d = 1.707 Å, I 27
- (4 3 1), d = 2.459 Å, I 15
- (5 5 0), d = 1.774 Å, I 13
- (4 2 2), d = 2.560 Å, I 13
- (4 0 0), d = 3.135 Å, I 11
- (7 4 3), d = 1.458 Å, I 8

Crystal structure
```
data_Pm
_chemical_formula_sum 'Pm58'
_cell_length_a 12.541
_cell_length_b 12.541
_cell_length_c 12.541
_cell_angle_alpha 90.00
_cell_angle_beta 90.00
_cell_angle_gamma 90.00
_space_group_name_H-M_alt 'I -4 3 m'
_space_group_IT_number 217
_space_group_name_Hall 'I -4 2 3'
loop_
_atom_site_label
_atom_site_fract_x
_atom_site_fract_y
_atom_site_fract_z
_atom_site_occupancy
Pm1 0.000 0.000 0.000 1
Pm2 0.051 0.366 0.634 1
Pm3 0.094 0.094 0.718 1
Pm4 0.181 0.181 0.181 1
```

---

(7)
# Pm
Theoretical X-ray diffraction stick pattern, Cu Kα (λ = 1.5418 Å). Input: DFT lattice parameters and positions (PBE).
Kinematic intensities with the Lorentz-polarization factor, no thermal factor.

Principal peaks in the range 2θ from 15° to 90°, by intensity:
- (1 1 1), d = 2.782 Å, I 100
- (0 2 1), d = 2.817 Å, I 66
- (0 0 2), d = 2.941 Å, I 43
- (1 1 0), d = 3.157 Å, I 33
- (1 3 2), d = 1.561 Å, I 24
- (1 1 2), d = 2.152 Å, I 22
- (1 1 3), d = 1.666 Å, I 22
- (1 3 0), d = 1.843 Å, I 21

Crystal structure
```
data_Pm
_chemical_formula_sum 'Pm4'
_cell_length_a 3.627
_cell_length_b 6.417
_cell_length_c 5.882
_cell_angle_alpha 90.00
_cell_angle_beta 90.00
_cell_angle_gamma 90.00
_space_group_name_H-M_alt 'C m c m'
_space_group_IT_number 63
_space_group_name_Hall '-C 2c 2'
loop_
_atom_site_label
_atom_site_fract_x
_atom_site_fract_y
_atom_site_fract_z
_atom_site_occupancy
Pm1 0.000 0.155 0.250 1
```

---

(8)
# Pm
Theoretical X-ray diffraction stick pattern, Cu Kα (λ = 1.5418 Å). Input: DFT lattice parameters and positions (PBE).
Kinematic intensities with the Lorentz-polarization factor, no thermal factor.

Principal peaks in the range 2θ from 15° to 90°, by intensity:
- (1 1 0), d = 2.892 Å, I 100
- (2 1 1), d = 1.669 Å, I 39
- (3 2 1), d = 1.093 Å, I 21
- (2 0 0), d = 2.045 Å, I 19
- (3 1 0), d = 1.293 Å, I 17
- (2 2 0), d = 1.446 Å, I 12
- (2 2 2), d = 1.181 Å, I 4

Crystal structure
```
data_Pm
_chemical_formula_sum 'Pm2'
_cell_length_a 4.089
_cell_length_b 4.089
_cell_length_c 4.089
_cell_angle_alpha 90.00
_cell_angle_beta 90.00
_cell_angle_gamma 90.00
_space_group_name_H-M_alt 'I m -3 m'
_space_group_IT_number 229
_space_group_name_Hall '-I 4 2 3'
loop_
_atom_site_label
_atom_site_fract_x
_atom_site_fract_y
_atom_site_fract_z
_atom_site_occupancy
Pm1 0.000 0.000 0.000 1
```

---

(9)
# PmSm2Pt9
Theoretical X-ray diffraction stick pattern, Cu Kα (λ = 1.5418 Å). Input: DFT lattice parameters and positions (PBE).
Kinematic intensities with the Lorentz-polarization factor, no thermal factor.

Principal peaks in the range 2θ from 15° to 90°, by intensity:
- (1 1 6), d = 2.318 Å, I 100
- (2 0 5), d = 2.153 Å, I 58
- (0 0 12), d = 2.220 Å, I 37
- (1 1 0), d = 2.718 Å, I 30
- (0 3 6), d = 1.480 Å, I 28
- (2 2 0), d = 1.359 Å, I 25
- (0 2 1), d = 2.345 Å, I 25
- (1 0 1), d = 4.636 Å, I 21

Crystal structure
```
data_PmSm2Pt9
_chemical_formula_sum 'Pm3 Sm6 Pt27'
_cell_length_a 5.4360
_cell_length_b 5.4360
_cell_length_c 26.6421
_cell_angle_alpha 90.00
_cell_angle_beta 90.00
_cell_angle_gamma 120.00
_space_group_name_H-M_alt 'R -3 m'
_space_group_IT_number 166
_space_group_name_Hall '-R 3 2"'
loop_
_atom_site_label
_atom_site_fract_x
_atom_site_fract_y
_atom_site_fract_z
_atom_site_occupancy
Pm1 0.0000 0.0000 0.0000 1
Sm1 0.0000 0.0000 0.1393 1
Pt1 0.0000 0.0000 0.3330 1
Pt2 0.0000 0.0000 0.5000 1
Pt3 0.0041 0.5020 0.9152 1
```

---

(10)
# PmRe2
Theoretical X-ray diffraction stick pattern, Cu Kα (λ = 1.5418 Å). Input: DFT lattice parameters and positions (PBE).
Kinematic intensities with the Lorentz-polarization factor, no thermal factor.

Principal peaks in the range 2θ from 15° to 90°, by intensity:
- (3 1 1), d = 2.338 Å, I 100
- (2 2 2), d = 2.238 Å, I 48
- (5 1 1), d = 1.492 Å, I 33
- (4 4 0), d = 1.371 Å, I 30
- (2 2 0), d = 2.741 Å, I 20
- (6 2 2), d = 1.169 Å, I 19
- (1 1 1), d = 4.476 Å, I 13
- (5 3 3), d = 1.182 Å, I 12

Crystal structure
Cell: 7.753 7.753 7.753 Å, 90.00 90.00 90.00°
Space group Fd-3m (No. 227, origin choice 2)
Asymmetric unit:
Pm1 0.125 0.125 0.125 [8 per cell]
Re1 0.000 0.000 0.500 [16 per cell]

---

(11)
# Tb3PmS6
Theoretical X-ray diffraction stick pattern, Cu Kα (λ = 1.5418 Å). Input: DFT lattice parameters and positions (PBE).
Kinematic intensities with the Lorentz-polarization factor, no thermal factor.

Principal peaks in the range 2θ from 15° to 90°, by intensity:
- (3 0 -1), d = 3.698 Å, I 100
- (1 0 -3), d = 3.791 Å, I 82
- (2 1 1), d = 2.903 Å, I 72
- (1 1 1), d = 3.411 Å, I 62
- (4 1 -3), d = 2.145 Å, I 62
- (3 1 0), d = 2.634 Å, I 55
- (0 2 0), d = 1.997 Å, I 52
- (1 1 -2), d = 3.247 Å, I 49

Crystal structure
```
data_Tb3PmS6
_chemical_formula_sum 'Tb6 Pm2 S12'
_cell_length_a 11.093
_cell_length_b 3.995
_cell_length_c 11.377
_cell_angle_alpha 90.00
_cell_angle_beta 108.59
_cell_angle_gamma 90.00
_space_group_name_H-M_alt 'P 1 21/m 1'
_space_group_IT_number 11
_space_group_name_Hall '-P 2yb'
loop_
_atom_site_label
_atom_site_fract_x
_atom_site_fract_y
_atom_site_fract_z
_atom_site_occupancy
Tb1 0.063 0.250 0.168 1
Tb2 0.181 0.750 0.503 1
Tb3 0.339 0.250 0.915 1
Pm1 0.453 0.250 0.308 1
S1 0.022 0.250 0.388 1
S2 0.103 0.250 0.938 1
S3 0.241 0.750 0.275 1
S4 0.307 0.750 0.751 1
S5 0.385 0.250 0.537 1
S6 0.418 0.750 0.097 1
```

---

(12)
# TbPm6S8
Theoretical X-ray diffraction stick pattern, Cu Kα (λ = 1.5418 Å). Input: DFT lattice parameters and positions (PBE).
Kinematic intensities with the Lorentz-polarization factor, no thermal factor.

Principal peaks in the range 2θ from 15° to 90°, by intensity:
- (4 0 0), d = 2.839 Å, I 100
- (4 4 0), d = 2.008 Å, I 72
- (2 2 2), d = 3.278 Å, I 66
- (6 2 2), d = 1.712 Å, I 33
- (8 4 0), d = 1.270 Å, I 32
- (4 4 4), d = 1.639 Å, I 25
- (8 4 4), d = 1.159 Å, I 24
- (6 6 2), d = 1.303 Å, I 14

Crystal structure
```
data_TbPm6S8
_chemical_formula_sum 'Tb4 Pm24 S32'
_cell_length_a 11.357
_cell_length_b 11.357
_cell_length_c 11.357
_cell_angle_alpha 90.00
_cell_angle_beta 90.00
_cell_angle_gamma 90.00
_space_group_name_H-M_alt 'F m -3 m'
_space_group_IT_number 225
_space_group_name_Hall '-F 4 2 3'
loop_
_atom_site_label
_atom_site_fract_x
_atom_site_fract_y
_atom_site_fract_z
_atom_site_occupancy
Tb1 0.000 0.000 0.000 1
Pm1 0.000 0.250 0.250 1
S1 0.000 0.000 0.245 1
S2 0.250 0.250 0.250 1
```